Entry 1:
Ce12Sn5Ge3: theoretical powder X-ray diffraction pattern (Cu Kα), based on a PBE-relaxed structure.

Most intense lines, 5 to 70 degrees two-theta, in order of rising 2θ:
30.8 deg, rel. 17.5; 31.6 deg, rel. 47.4; 32.0 deg, rel. 44.9; 32.6 deg, rel. 100.0; 33.8 deg, rel. 16.6; 35.4 deg, rel. 28.1

```
data_Ce12Sn5Ge3
_chemical_formula_sum 'Ce24 Sn10 Ge6'
_cell_length_a 11.621
_cell_length_b 11.621
_cell_length_c 11.621
_cell_angle_alpha 118.63
_cell_angle_beta 118.63
_cell_angle_gamma 92.40
_space_group_name_H-M_alt 'P 1'
_space_group_IT_number 1
_space_group_name_Hall 'P 1'
loop_
_atom_site_label
_atom_site_fract_x
_atom_site_fract_y
_atom_site_fract_z
Ce1 0.064 0.927 0.261
Ce2 0.073 0.334 0.137
Ce3 0.141 0.641 0.500
Ce4 0.164 0.336 0.500
Ce5 0.166 0.427 0.863
Ce6 0.197 0.936 0.863
Ce7 0.303 0.166 0.739
Ce8 0.334 0.197 0.261
Ce9 0.336 0.836 0.171
Ce10 0.359 0.859 0.500
Ce11 0.427 0.564 0.261
Ce12 0.436 0.697 0.863
Ce13 0.564 0.303 0.137
Ce14 0.573 0.436 0.739
Ce15 0.641 0.141 0.500
Ce16 0.664 0.164 0.829
Ce17 0.666 0.803 0.739
Ce18 0.697 0.834 0.261
Ce19 0.803 0.064 0.137
Ce20 0.834 0.573 0.137
Ce21 0.836 0.664 0.500
Ce22 0.859 0.359 0.500
Ce23 0.927 0.666 0.863
Ce24 0.936 0.073 0.739
Sn1 0.000 0.000 0.000
Sn2 0.027 0.876 0.500
Sn3 0.124 0.624 0.151
Sn4 0.376 0.527 0.500
Sn5 0.473 0.973 0.849
Sn6 0.500 0.500 0.000
Sn7 0.527 0.027 0.151
Sn8 0.624 0.473 0.500
Sn9 0.876 0.376 0.849
Sn10 0.973 0.124 0.500
Ge1 0.123 0.623 0.746
Ge2 0.250 0.250 0.000
Ge3 0.377 0.123 0.500
Ge4 0.623 0.877 0.500
Ge5 0.750 0.750 0.000
Ge6 0.877 0.377 0.254
```

Entry 2:
NaLi3Sb2: theoretical powder X-ray diffraction pattern (Cu Kα), based on a PBE-relaxed structure.

Most intense lines, 5 to 70 degrees two-theta, in order of rising 2θ:
22.2 deg, rel. 100.0; 29.7 deg, rel. 36.0; 35.1 deg, rel. 34.1; 37.0 deg, rel. 49.2; 41.1 deg, rel. 25.7; 46.8 deg, rel. 30.3

```
data_NaLi3Sb2
_chemical_formula_sum 'Na2 Li6 Sb4'
_cell_length_a 4.858
_cell_length_b 4.858
_cell_length_c 12.882
_cell_angle_alpha 90.00
_cell_angle_beta 90.00
_cell_angle_gamma 120.00
_space_group_name_H-M_alt 'P 1'
_space_group_IT_number 1
_space_group_name_Hall 'P 1'
loop_
_atom_site_label
_atom_site_fract_x
_atom_site_fract_y
_atom_site_fract_z
Na1 0.000 0.000 0.250
Na2 0.000 0.000 0.750
Li1 0.000 0.000 0.000
Li2 0.000 0.000 0.500
Li3 0.333 0.667 0.100
Li4 0.333 0.667 0.400
Li5 0.667 0.333 0.600
Li6 0.667 0.333 0.900
Sb1 0.333 0.667 0.629
Sb2 0.333 0.667 0.871
Sb3 0.667 0.333 0.129
Sb4 0.667 0.333 0.371
```

Entry 3:
Er5In2Ir2: theoretical powder X-ray diffraction pattern (Cu Kα), based on a PBE-relaxed structure.

Most intense lines, 5 to 70 degrees two-theta, in order of rising 2θ:
10.9 deg, rel. 85.1; 31.4 deg, rel. 57.3; 32.2 deg, rel. 52.5; 34.5 deg, rel. 78.5; 38.0 deg, rel. 47.7; 38.6 deg, rel. 100.0

```
data_Er5In2Ir2
_chemical_formula_sum 'Er10 In4 Ir4'
_cell_length_a 8.980
_cell_length_b 8.980
_cell_length_c 7.456
_cell_angle_alpha 90.00
_cell_angle_beta 90.00
_cell_angle_gamma 50.01
_space_group_name_H-M_alt 'P 1'
_space_group_IT_number 1
_space_group_name_Hall 'P 1'
loop_
_atom_site_label
_atom_site_fract_x
_atom_site_fract_y
_atom_site_fract_z
Er1 0.000 0.000 0.000
Er2 0.055 0.715 0.665
Er3 0.215 0.555 0.165
Er4 0.285 0.945 0.665
Er5 0.445 0.785 0.165
Er6 0.500 0.500 0.500
Er7 0.555 0.215 0.835
Er8 0.715 0.055 0.335
Er9 0.785 0.445 0.835
Er10 0.945 0.285 0.335
In1 0.220 0.220 0.000
In2 0.280 0.280 0.500
In3 0.720 0.720 0.500
In4 0.780 0.780 0.000
Ir1 0.134 0.866 0.365
Ir2 0.366 0.634 0.865
Ir3 0.634 0.366 0.135
Ir4 0.866 0.134 0.635
```

Entry 4:
PmPIr3: theoretical powder X-ray diffraction pattern (Cu Kα), based on a PBE-relaxed structure.

Most intense lines, 5 to 70 degrees two-theta, in order of rising 2θ:
33.7 deg, rel. 32.0; 35.7 deg, rel. 100.0; 45.0 deg, rel. 36.2; 46.7 deg, rel. 15.9; 48.3 deg, rel. 16.4; 57.3 deg, rel. 20.6

```
data_PmPIr3
_chemical_formula_sum 'Pm1 P1 Ir3'
_cell_length_a 6.037
_cell_length_b 6.037
_cell_length_c 6.037
_cell_angle_alpha 140.99
_cell_angle_beta 140.99
_cell_angle_gamma 56.35
_space_group_name_H-M_alt 'P 1'
_space_group_IT_number 1
_space_group_name_Hall 'P 1'
loop_
_atom_site_label
_atom_site_fract_x
_atom_site_fract_y
_atom_site_fract_z
Pm1 0.000 0.000 0.000
P1 0.374 0.374 0.000
Ir1 0.259 0.759 0.500
Ir2 0.586 0.586 0.000
Ir3 0.759 0.259 0.500
```

Entry 5:
Sr3InBi3: theoretical powder X-ray diffraction pattern (Cu Kα), based on a PBE-relaxed structure.

Most intense lines, 5 to 70 degrees two-theta, in order of rising 2θ:
21.6 deg, rel. 96.5; 25.0 deg, rel. 83.0; 25.4 deg, rel. 73.7; 35.3 deg, rel. 92.4; 35.6 deg, rel. 94.2; 35.9 deg, rel. 100.0

```
data_Sr3InBi3
_chemical_formula_sum 'Sr12 In4 Bi12'
_cell_length_a 11.298
_cell_length_b 11.298
_cell_length_c 14.031
_cell_angle_alpha 90.00
_cell_angle_beta 90.00
_cell_angle_gamma 37.39
_space_group_name_H-M_alt 'P 1'
_space_group_IT_number 1
_space_group_name_Hall 'P 1'
loop_
_atom_site_label
_atom_site_fract_x
_atom_site_fract_y
_atom_site_fract_z
Sr1 0.024 0.621 0.126
Sr2 0.121 0.524 0.626
Sr3 0.194 0.806 0.861
Sr4 0.306 0.694 0.361
Sr5 0.379 0.976 0.126
Sr6 0.476 0.879 0.626
Sr7 0.524 0.121 0.374
Sr8 0.621 0.024 0.874
Sr9 0.694 0.306 0.639
Sr10 0.806 0.194 0.139
Sr11 0.879 0.476 0.374
Sr12 0.976 0.379 0.874
In1 0.089 0.089 0.500
In2 0.411 0.411 0.000
In3 0.589 0.589 0.000
In4 0.911 0.911 0.500
Bi1 0.067 0.606 0.369
Bi2 0.106 0.567 0.869
Bi3 0.222 0.778 0.619
Bi4 0.278 0.722 0.119
Bi5 0.394 0.933 0.369
Bi6 0.433 0.894 0.869
Bi7 0.567 0.106 0.131
Bi8 0.606 0.067 0.631
Bi9 0.722 0.278 0.881
Bi10 0.778 0.222 0.381
Bi11 0.894 0.433 0.131
Bi12 0.933 0.394 0.631
```

Entry 6:
CsEuTa6Cl18: theoretical powder X-ray diffraction pattern (Cu Kα), based on a PBE-relaxed structure.

Most intense lines, 5 to 70 degrees two-theta, in order of rising 2θ:
10.0 deg, rel. 25.9; 10.7 deg, rel. 100.0; 14.7 deg, rel. 86.2; 35.3 deg, rel. 43.4; 42.5 deg, rel. 19.5; 43.2 deg, rel. 20.7

```
data_CsEuTa6Cl18
_chemical_formula_sum 'Cs2 Eu2 Ta12 Cl36'
_cell_length_a 9.518
_cell_length_b 9.518
_cell_length_c 17.612
_cell_angle_alpha 90.00
_cell_angle_beta 90.00
_cell_angle_gamma 120.00
_space_group_name_H-M_alt 'P 1'
_space_group_IT_number 1
_space_group_name_Hall 'P 1'
loop_
_atom_site_label
_atom_site_fract_x
_atom_site_fract_y
_atom_site_fract_z
Cs1 0.333 0.667 0.250
Cs2 0.667 0.333 0.750
Eu1 0.333 0.667 0.750
Eu2 0.667 0.333 0.250
Ta1 0.034 0.192 0.932
Ta2 0.034 0.841 0.568
Ta3 0.159 0.192 0.568
Ta4 0.159 0.966 0.932
Ta5 0.192 0.034 0.432
Ta6 0.192 0.159 0.068
Ta7 0.808 0.841 0.932
Ta8 0.808 0.966 0.568
Ta9 0.841 0.034 0.068
Ta10 0.841 0.808 0.432
Ta11 0.966 0.159 0.432
Ta12 0.966 0.808 0.068
Cl1 0.039 0.226 0.159
Cl2 0.039 0.813 0.341
Cl3 0.071 0.432 0.844
Cl4 0.071 0.639 0.656
Cl5 0.147 0.412 0.500
Cl6 0.147 0.736 0.000
Cl7 0.187 0.226 0.341
Cl8 0.187 0.961 0.159
Cl9 0.226 0.039 0.659
Cl10 0.226 0.187 0.841
Cl11 0.264 0.412 0.000
Cl12 0.264 0.853 0.500
Cl13 0.361 0.432 0.656
Cl14 0.361 0.929 0.844
Cl15 0.412 0.147 0.000
Cl16 0.412 0.264 0.500
Cl17 0.432 0.071 0.344
Cl18 0.432 0.361 0.156
Cl19 0.568 0.639 0.844
Cl20 0.568 0.929 0.656
Cl21 0.588 0.736 0.500
Cl22 0.588 0.853 0.000
Cl23 0.639 0.071 0.156
Cl24 0.639 0.568 0.344
Cl25 0.736 0.147 0.500
Cl26 0.736 0.588 0.000
Cl27 0.774 0.813 0.159
Cl28 0.774 0.961 0.341
Cl29 0.813 0.039 0.841
Cl30 0.813 0.774 0.659
Cl31 0.853 0.264 0.000
Cl32 0.853 0.588 0.500
Cl33 0.929 0.361 0.344
Cl34 0.929 0.568 0.156
Cl35 0.961 0.187 0.659
Cl36 0.961 0.774 0.841
```

Entry 7:
La3Al9Au2: theoretical powder X-ray diffraction pattern (Cu Kα), based on a PBE-relaxed structure.

Most intense lines, 5 to 70 degrees two-theta, in order of rising 2θ:
21.8 deg, rel. 26.8; 22.1 deg, rel. 28.6; 27.4 deg, rel. 29.8; 33.4 deg, rel. 27.1; 33.9 deg, rel. 100.0; 40.7 deg, rel. 37.2

```
data_La3Al9Au2
_chemical_formula_sum 'La3 Al9 Au2'
_cell_length_a 8.519
_cell_length_b 8.519
_cell_length_c 8.519
_cell_angle_alpha 149.78
_cell_angle_beta 105.25
_cell_angle_gamma 82.70
_space_group_name_H-M_alt 'P 1'
_space_group_IT_number 1
_space_group_name_Hall 'P 1'
loop_
_atom_site_label
_atom_site_fract_x
_atom_site_fract_y
_atom_site_fract_z
La1 0.000 0.000 0.000
La2 0.314 0.314 0.000
La3 0.686 0.686 0.000
Al1 0.035 0.666 0.369
Al2 0.147 0.871 0.276
Al3 0.296 0.666 0.631
Al4 0.405 0.129 0.276
Al5 0.500 0.000 0.500
Al6 0.595 0.871 0.724
Al7 0.704 0.334 0.369
Al8 0.853 0.129 0.724
Al9 0.965 0.334 0.631
Au1 0.280 0.500 0.780
Au2 0.720 0.500 0.220
```

Entry 8:
Pm2YGe6: theoretical powder X-ray diffraction pattern (Cu Kα), based on a PBE-relaxed structure.

Most intense lines, 5 to 70 degrees two-theta, in order of rising 2θ:
12.9 deg, rel. 28.9; 32.4 deg, rel. 100.0; 34.6 deg, rel. 51.4; 39.7 deg, rel. 27.1; 39.8 deg, rel. 27.0; 45.8 deg, rel. 29.4

```
data_Pm2YGe6
_chemical_formula_sum 'Pm2 Y1 Ge6'
_cell_length_a 8.175
_cell_length_b 8.175
_cell_length_c 4.014
_cell_angle_alpha 104.03
_cell_angle_beta 104.03
_cell_angle_gamma 57.92
_space_group_name_H-M_alt 'P 1'
_space_group_IT_number 1
_space_group_name_Hall 'P 1'
loop_
_atom_site_label
_atom_site_fract_x
_atom_site_fract_y
_atom_site_fract_z
Pm1 0.000 0.000 0.000
Pm2 0.246 0.246 0.249
Y1 0.704 0.704 0.205
Ge1 0.049 0.587 0.820
Ge2 0.216 0.644 0.430
Ge3 0.364 0.884 0.625
Ge4 0.587 0.049 0.820
Ge5 0.644 0.216 0.430
Ge6 0.884 0.364 0.625
```

Which formula does entry 4 have?
PmPIr3